# LiNb3O8
Computed X-ray powder pattern, Cu Kα, 1.54184 Å. Input: a DFT-relaxed cell (PBE, Alexandria).
Lines closer than 0.1° are merged.

The 12 most intense peaks (2θ = 15–90°), sorted by position:
- 21.12 deg, intensity 145, hkl 0 1 2
- 21.25 deg, intensity 194, hkl 1 1 0
- 23.80 deg, intensity 129, hkl 2 0 -2
- 23.91 deg, intensity 132, hkl 0 0 4
- 29.67 deg, intensity 1000, hkl 2 1 -2
- 30.28 deg, intensity 110, hkl 2 0 2
- 35.16 deg, intensity 241, hkl 0 2 0
- 52.10 deg, intensity 109, hkl 4 1 -4
- 52.30 deg, intensity 282, hkl 2 2 -6
- 59.78 deg, intensity 148, hkl 2 3 -2
- 62.62 deg, intensity 121, hkl 4 2 0
- 62.78 deg, intensity 122, hkl 2 2 6

Cell and atoms:
Cell lengths 7.6349, 5.1005, 15.5720 Å; angles 90.00, 107.07, 90.00 degrees
Space group P2_1/c (No. 14)
Symmetry-distinct sites (fractional):
Li: 0.2389 0.2414 0.0793 (multiplicity 4)
Nb: 0.0187 0.7381 0.1650 (multiplicity 4)
Nb: 0.2522 0.7433 0.4254 (multiplicity 4)
Nb: 0.4912 0.2312 0.3312 (multiplicity 4)
O: 0.0010 0.5608 0.4009 (multiplicity 4)
O: 0.0835 0.5864 0.7831 (multiplicity 4)
O: 0.1484 0.0655 0.4504 (multiplicity 4)
O: 0.2360 0.5987 0.1547 (multiplicity 4)
O: 0.2814 0.0829 0.8453 (multiplicity 4)
O: 0.3516 0.6049 0.5392 (multiplicity 4)
O: 0.4146 0.0681 0.2179 (multiplicity 4)
O: 0.4605 0.5793 0.8990 (multiplicity 4)

---

# LiNb2O
Computed X-ray powder pattern, Cu Kα, 1.54184 Å. Input: a DFT-relaxed cell (PBE, Alexandria).
Lines closer than 0.1° are merged.

The 12 most intense peaks (2θ = 15–90°), sorted by position:
- 21.13 deg, intensity 414, hkl 0 0 4
- 31.93 deg, intensity 292, hkl 0 0 6
- 36.13 deg, intensity 157, hkl 1 0 0
- 36.54 deg, intensity 354, hkl 1 0 1
- 39.66 deg, intensity 1000, hkl 1 0 3
- 42.23 deg, intensity 202, hkl 1 0 4
- 48.98 deg, intensity 213, hkl 1 0 6
- 53.01 deg, intensity 281, hkl 1 0 7
- 62.15 deg, intensity 179, hkl 1 0 9
- 64.98 deg, intensity 177, hkl 1 1 0
- 74.24 deg, intensity 152, hkl 1 1 6
- 78.88 deg, intensity 127, hkl 2 0 3

Cell and atoms:
Cell lengths 2.8706, 2.8706, 16.8148 Å; angles 90.00, 90.00, 120.00 degrees
Space group P6_3/mmc (No. 194)
Symmetry-distinct sites (fractional):
Li: 0.3333 0.6667 0.2500 (multiplicity 2)
Nb: 0.3333 0.6667 0.5944 (multiplicity 4)
O: 0.0000 0.0000 0.0000 (multiplicity 2)

---

# LiNb8O14
Computed X-ray powder pattern, Cu Kα, 1.54184 Å. Input: a DFT-relaxed cell (PBE, Alexandria).
Lines closer than 0.1° are merged.

The 12 most intense peaks (2θ = 15–90°), sorted by position:
- 19.57 deg, intensity 470, hkl 1 1 1
- 25.67 deg, intensity 982, hkl 2 1 1
- 31.29 deg, intensity 448, hkl 1 3 1
- 32.14 deg, intensity 398, hkl 2 3 0
- 32.57 deg, intensity 287, hkl 1 1 2
- 34.56 deg, intensity 268, hkl 0 2 2
- 35.92 deg, intensity 421, hkl 1 2 2
- 44.43 deg, intensity 279, hkl 2 3 2
- 45.49 deg, intensity 1000, hkl 3 4 0
- 52.74 deg, intensity 311, hkl 4 2 2
- 61.14 deg, intensity 301, hkl 5 4 0
- 61.79 deg, intensity 333, hkl 0 6 2

Cell and atoms:
Cell lengths 9.3311, 10.4122, 5.9878 Å; angles 90.00, 90.00, 90.00 degrees
Space group Pbam (No. 55)
Symmetry-distinct sites (fractional):
Li: 0.0000 0.0000 0.0000 (multiplicity 2)
Nb: 0.1106 0.1625 0.5000 (multiplicity 4)
Nb: 0.1208 0.6658 0.0000 (multiplicity 4)
Nb: 0.1293 0.4238 0.2359 (multiplicity 8)
O: 0.0000 0.0000 0.5000 (multiplicity 2)
O: 0.0000 0.5000 0.5000 (multiplicity 2)
O: 0.0041 0.2489 0.2488 (multiplicity 8)
O: 0.2363 0.3217 0.5000 (multiplicity 4)
O: 0.2393 0.8471 0.0000 (multiplicity 4)
O: 0.2429 0.0889 0.2503 (multiplicity 8)

---

# LiNbPO5
Computed X-ray powder pattern, Cu Kα, 1.54184 Å. Input: a DFT-relaxed cell (PBE, Alexandria).
Lines closer than 0.1° are merged.

The 12 most intense peaks (2θ = 15–90°), sorted by position:
- 17.45 deg, intensity 922, hkl 2 0 -2
- 18.50 deg, intensity 1000, hkl 1 1 -1
- 20.94 deg, intensity 382, hkl 1 1 1
- 25.84 deg, intensity 835, hkl 3 1 0
- 26.31 deg, intensity 854, hkl 2 0 2
- 26.49 deg, intensity 907, hkl 3 1 -2
- 29.96 deg, intensity 493, hkl 3 1 1
- 31.09 deg, intensity 421, hkl 3 1 -3
- 35.17 deg, intensity 286, hkl 5 1 -1
- 37.70 deg, intensity 324, hkl 0 2 2
- 47.72 deg, intensity 255, hkl 5 1 2
- 55.78 deg, intensity 265, hkl 2 2 4

Cell and atoms:
Cell lengths 14.6028, 5.4407, 10.8474 Å; angles 90.00, 113.72, 90.00 degrees
Space group C2 (No. 5)
Symmetry-distinct sites (fractional):
Li: 0.0535 0.0000 0.2721 (multiplicity 4)
Li: 0.1784 0.6667 0.7695 (multiplicity 4)
Nb: 0.0000 0.8496 0.0000 (multiplicity 2)
Nb: 0.0000 0.9739 0.5000 (multiplicity 2)
Nb: 0.2502 0.1618 0.7455 (multiplicity 4)
P: 0.1298 0.3541 0.9579 (multiplicity 4)
P: 0.1297 0.4757 0.4571 (multiplicity 4)
O: 0.0598 0.1246 0.9181 (multiplicity 4)
O: 0.0632 0.2416 0.4094 (multiplicity 4)
O: 0.0642 0.7115 0.4150 (multiplicity 4)
O: 0.0648 0.5894 0.9185 (multiplicity 4)
O: 0.1204 0.9735 0.6697 (multiplicity 4)
O: 0.1221 0.8300 0.1709 (multiplicity 4)
O: 0.1840 0.4617 0.6139 (multiplicity 4)
O: 0.1944 0.3551 0.8745 (multiplicity 4)
O: 0.1971 0.3579 0.1115 (multiplicity 4)
O: 0.2048 0.4791 0.3910 (multiplicity 4)